No. 1
Starting from a crystal structure in Alexandria, relaxed with GGA-PBE, the powder X-ray diffraction pattern of MgAu4Se4Cl4O12 was computed for Cu Kα X-rays.

Peak list (10 most intense, 15 to 90 degrees two-theta, most intense first)
2theta, d [Å], I/Imax
19.58, 4.534, 100
27.43, 3.252, 76
18.07, 4.908, 73
15.65, 5.661, 54
25.66, 3.472, 42
28.02, 3.184, 36
18.46, 4.806, 36
29.93, 2.985, 35
36.64, 2.452, 34
42.69, 2.118, 31

Cell and atoms:
a = 4.5632 Å, b = 9.8374 Å, c = 11.3953 Å
α = 92.45°, β = 95.89°, γ = 92.56°
Space group P1 (No. 1)
Unique sites:
1 Mg 0.0000 0.0000 0.0000 x1
2 Au 0.6904 0.8419 0.6339 x1
3 Au 0.7715 0.3361 0.5593 x1
4 Au 0.8245 0.3755 0.0553 x1
5 Au 0.8828 0.7703 0.2456 x1
6 Se 0.0758 0.6690 0.9865 x1
7 Se 0.0843 0.2444 0.8114 x1
8 Se 0.5699 0.4801 0.3106 x1
9 Se 0.6333 0.0835 0.1790 x1
10 Cl 0.0565 0.1489 0.5444 x1
11 Cl 0.2083 0.8354 0.6915 x1
12 Cl 0.4994 0.5276 0.5756 x1
13 Cl 0.5877 0.8418 0.3882 x1
14 O 0.1334 0.3547 0.9404 x1
15 O 0.1950 0.7089 0.1364 x1
16 O 0.4375 0.0255 0.0516 x1
17 O 0.5095 0.3990 0.1698 x1
18 O 0.7400 0.3436 0.3795 x1
19 O 0.7513 0.5636 0.9985 x1
20 O 0.7804 0.3222 0.7365 x1
21 O 0.8975 0.8076 0.9436 x1
22 O 0.8990 0.5787 0.3056 x1
23 O 0.9036 0.1857 0.1154 x1
24 O 0.9135 0.1041 0.8571 x1
25 O 0.9148 0.9616 0.1826 x1

=====

No. 2
Starting from a crystal structure in Alexandria, relaxed with GGA-PBE, the powder X-ray diffraction pattern of Mn2AuCl was computed for Cu Kα X-rays.

Peak list (10 most intense, 15 to 90 degrees two-theta, most intense first)
2theta, d [Å], I/Imax
37.86, 2.376, 100
25.25, 3.527, 47
16.00, 5.540, 42
32.32, 2.770, 39
59.90, 1.544, 25
48.97, 1.860, 23
61.34, 1.511, 23
34.21, 2.621, 23
47.72, 1.906, 21
84.12, 1.151, 19

Cell and atoms:
a = 3.7202 Å, b = 3.7202 Å, c = 11.0800 Å
α = 90.00°, β = 90.00°, γ = 90.00°
Space group I-4m2 (No. 119)
Unique sites:
1 Mn 0.0000 0.0000 0.0000 x2
2 Mn 0.0000 0.5000 0.2500 x2
3 Au 0.0000 0.5000 0.7500 x2
4 Cl 0.0000 0.0000 0.5000 x2

=====

No. 3
Starting from a crystal structure in Alexandria, relaxed with GGA-PBE, the powder X-ray diffraction pattern of Rb2MnAuCl6 was computed for Cu Kα X-rays.

Peak list (10 most intense, 15 to 90 degrees two-theta, most intense first)
2theta, d [Å], I/Imax
25.52, 3.490, 100
32.90, 2.722, 79
23.10, 3.850, 65
42.09, 2.147, 49
52.43, 1.745, 41
39.63, 2.274, 38
27.70, 3.220, 35
15.08, 5.876, 30
16.28, 5.445, 29
46.37, 1.958, 28

Cell and atoms:
a = 7.7001 Å, b = 7.7001 Å, c = 9.0939 Å
α = 90.00°, β = 90.00°, γ = 90.00°
Space group I4/mmm (No. 139)
Unique sites:
1 Rb 0.0000 0.5000 0.2500 x4
2 Mn 0.0000 0.0000 0.0000 x2
3 Au 0.0000 0.0000 0.5000 x2
4 Cl 0.0000 0.0000 0.2525 x4
5 Cl 0.2200 0.2200 0.0000 x8

=====

No. 4
Starting from a crystal structure in Alexandria, relaxed with GGA-PBE, the powder X-ray diffraction pattern of MoAu2Cl was computed for Cu Kα X-rays.

Peak list (10 most intense, 15 to 90 degrees two-theta, most intense first)
2theta, d [Å], I/Imax
39.17, 2.300, 100
35.78, 2.509, 35
34.67, 2.588, 29
66.56, 1.405, 21
43.96, 2.060, 21
50.68, 1.801, 20
36.04, 2.492, 17
65.15, 1.432, 16
84.19, 1.150, 16
25.82, 3.450, 10

Cell and atoms:
a = 2.9880 Å, b = 5.0186 Å, c = 10.3506 Å
α = 90.00°, β = 90.00°, γ = 90.00°
Space group Cmm2 (No. 35)
Unique sites:
1 Mo 0.0000 0.0000 0.0000 x2
2 Au 0.0000 0.0000 0.5269 x2
3 Au 0.0000 0.5000 0.7683 x2
4 Cl 0.0000 0.5000 0.1855 x2

=====

No. 5
Starting from a crystal structure in Alexandria, relaxed with GGA-PBE, the powder X-ray diffraction pattern of AuSeN2Cl was computed for Cu Kα X-rays.

Peak list (10 most intense, 15 to 90 degrees two-theta, most intense first)
2theta, d [Å], I/Imax
25.82, 3.451, 100
22.50, 3.952, 73
40.33, 2.236, 44
33.02, 2.712, 38
41.59, 2.172, 29
53.08, 1.725, 27
54.76, 1.676, 27
23.19, 3.836, 27
32.53, 2.752, 23
47.40, 1.918, 19

Cell and atoms:
a = 3.8359 Å, b = 3.8359 Å, c = 7.9034 Å
α = 90.00°, β = 90.00°, γ = 90.00°
Space group P4/mmm (No. 123)
Unique sites:
1 Au 0.0000 0.0000 0.0000 x1
2 Se 0.5000 0.5000 0.5000 x1
3 N 0.0000 0.5000 0.0000 x2
4 Cl 0.0000 0.0000 0.5000 x1

=====

No. 6
Starting from a crystal structure in Alexandria, relaxed with GGA-PBE, the powder X-ray diffraction pattern of NaAuCl6 was computed for Cu Kα X-rays.

Peak list (10 most intense, 15 to 90 degrees two-theta, most intense first)
2theta, d [Å], I/Imax
16.60, 5.340, 100
18.70, 4.745, 78
31.49, 2.841, 51
25.47, 3.498, 47
41.16, 2.193, 46
33.57, 2.670, 26
44.01, 2.058, 20
47.55, 1.912, 19
48.85, 1.865, 18
40.92, 2.205, 16

Cell and atoms:
a = 6.4557 Å, b = 6.4585 Å, c = 7.0410 Å
α = 62.70°, β = 89.96°, γ = 60.05°
Space group P-1 (No. 2)
Unique sites:
1 Na 0.0000 0.0000 0.0000 x1
2 Au 0.5000 0.0000 0.5000 x1
3 Cl 0.1036 0.4244 0.2715 x2
4 Cl 0.3031 0.7997 0.7284 x2
5 Cl 0.4723 0.8313 0.2716 x2

=====

No. 7
Starting from a crystal structure in Alexandria, relaxed with GGA-PBE, the powder X-ray diffraction pattern of NaPdAuSCl was computed for Cu Kα X-rays.

Peak list (10 most intense, 15 to 90 degrees two-theta, most intense first)
2theta, d [Å], I/Imax
36.09, 2.489, 100
27.29, 3.268, 47
29.95, 2.983, 44
25.61, 3.478, 31
33.31, 2.690, 30
37.26, 2.413, 29
53.40, 1.716, 29
41.63, 2.170, 27
51.31, 1.780, 26
32.74, 2.735, 19

Cell and atoms:
a = 3.5627 Å, b = 3.5593 Å, c = 16.4116 Å
α = 90.00°, β = 90.00°, γ = 90.00°
Space group Amm2 (No. 38)
Unique sites:
1 Na 0.0000 0.0000 0.0000 x2
2 Pd 0.0000 0.0000 0.6654 x2
3 Au 0.5000 0.0000 0.2850 x2
4 S 0.5000 0.0000 0.1446 x2
5 Cl 0.5000 0.0000 0.4308 x2

=====

No. 8
Starting from a crystal structure in Alexandria, relaxed with GGA-PBE, the powder X-ray diffraction pattern of NaPdAuSCl was computed for Cu Kα X-rays.

Peak list (10 most intense, 15 to 90 degrees two-theta, most intense first)
2theta, d [Å], I/Imax
27.60, 3.232, 100
25.32, 3.518, 57
33.61, 2.667, 54
41.93, 2.155, 49
44.61, 2.031, 43
64.69, 1.441, 23
46.04, 1.971, 19
53.27, 1.720, 17
56.50, 1.629, 16
80.34, 1.195, 15

Cell and atoms:
a = 4.0624 Å, b = 4.0624 Å, c = 8.1773 Å
α = 90.00°, β = 90.00°, γ = 120.00°
Space group P3m1 (No. 156)
Unique sites:
1 Na 0.0000 0.0000 0.0000 x1
2 Pd 0.3333 0.6667 0.2902 x1
3 Au 0.6667 0.3333 0.5359 x1
4 S 0.6667 0.3333 0.2540 x1
5 Cl 0.6667 0.3333 0.8247 x1